# TbSmGe2Os
Theoretical X-ray powder pattern, λ = 1.5418 Å (Cu Kα). Input: a PBE-relaxed structure.

Most intense lines, 5° ≤ 2θ ≤ 70°, sorted by position:
- d 9.047, rel. 52
- d 3.312, rel. 28
- d 2.771, rel. 34
- d 2.730, rel. 64
- d 2.722, rel. 88
- d 2.659, rel. 44
- d 2.482, rel. 76
- d 2.260, rel. 100
- d 2.165, rel. 61
- d 1.468, rel. 30

Structure:
a = 5.8747 Å, b = 5.8747 Å, c = 10.2861 Å
α = 116.25°, β = 116.25°, γ = 43.24°
Sites, in units of the cell vectors:
Tb (0.0029, 0.0029, 0.1738)
Tb (0.9971, 0.9971, 0.8262)
Sm (0.1863, 0.1863, 0.6133)
Sm (0.8137, 0.8137, 0.3866)
Ge (0.3561, 0.3561, 0.9378)
Ge (0.4928, 0.4928, 0.6284)
Ge (0.5072, 0.5072, 0.3716)
Ge (0.6439, 0.6439, 0.0622)
Os (0.2701, 0.2701, 0.1277)
Os (0.7299, 0.7299, 0.8723)


# Tb3Ge13Os4
Theoretical X-ray powder pattern, λ = 1.5418 Å (Cu Kα). Input: a PBE-relaxed structure.

Most intense lines, 5° ≤ 2θ ≤ 70°, sorted by position:
- d 4.538, rel. 49
- d 3.209, rel. 24
- d 2.620, rel. 53
- d 2.517, rel. 100
- d 2.426, rel. 37
- d 2.269, rel. 60
- d 2.029, rel. 36
- d 1.853, rel. 53
- d 1.604, rel. 22
- d 1.368, rel. 38

Structure:
a = 9.0761 Å, b = 9.0761 Å, c = 9.0761 Å
α = 90.00°, β = 90.00°, γ = 90.00°
Sites, in units of the cell vectors:
Tb (0.0000, 0.2500, 0.5000)
Tb (0.0000, 0.7500, 0.5000)
Tb (0.2500, 0.5000, 0.0000)
Tb (0.5000, 0.0000, 0.2500)
Tb (0.5000, 0.0000, 0.7500)
Tb (0.7500, 0.5000, 0.0000)
Ge (0.0000, 0.0000, 0.0000)
Ge (0.0000, 0.2976, 0.1449)
Ge (0.0000, 0.2976, 0.8551)
Ge (0.0000, 0.7024, 0.1449)
Ge (0.0000, 0.7024, 0.8551)
Ge (0.1449, 0.0000, 0.2976)
Ge (0.1449, 0.0000, 0.7024)
Ge (0.2024, 0.5000, 0.3551)
Ge (0.2024, 0.5000, 0.6449)
Ge (0.2976, 0.1449, 0.0000)
Ge (0.2976, 0.8551, 0.0000)
Ge (0.3551, 0.2024, 0.5000)
Ge (0.3551, 0.7976, 0.5000)
Ge (0.5000, 0.3551, 0.2024)
Ge (0.5000, 0.3551, 0.7976)
Ge (0.5000, 0.5000, 0.5000)
Ge (0.5000, 0.6449, 0.2024)
Ge (0.5000, 0.6449, 0.7976)
Ge (0.6449, 0.2024, 0.5000)
Ge (0.6449, 0.7976, 0.5000)
Ge (0.7024, 0.1449, 0.0000)
Ge (0.7024, 0.8551, 0.0000)
Ge (0.7976, 0.5000, 0.3551)
Ge (0.7976, 0.5000, 0.6449)
Ge (0.8551, 0.0000, 0.2976)
Ge (0.8551, 0.0000, 0.7024)
Os (0.2500, 0.2500, 0.2500)
Os (0.2500, 0.2500, 0.7500)
Os (0.2500, 0.7500, 0.2500)
Os (0.2500, 0.7500, 0.7500)
Os (0.7500, 0.2500, 0.2500)
Os (0.7500, 0.2500, 0.7500)
Os (0.7500, 0.7500, 0.2500)
Os (0.7500, 0.7500, 0.7500)